Diffraction record for Li8Mn15NiO32. The PXRD pattern is simulated, not measured: it uses a cell relaxed with GGA+U and Cu Ka.
No peak broadening, texture or thermal motion is included.

Top 6 peaks for 10 to 90 degrees two-theta, in order of rising 2θ:
d/Å  I_rel
4.835  1000
2.527  354
2.094  546
1.613  154
1.483  160
1.478  160

Structural model:
```
Li8Mn15NiO32
1.0
5.933 3.425 4.817
-5.933 3.425 4.817
0.000 -6.850 4.817
Li Mn Ni O
8 15 1 32
Direct
0.123 0.123 0.123
0.126 0.621 0.626
0.374 0.379 0.874
0.379 0.874 0.374
0.621 0.626 0.126
0.626 0.126 0.621
0.874 0.374 0.379
0.877 0.877 0.877
0.000 0.257 0.743
0.000 0.749 0.251
0.004 0.996 0.500
0.248 0.251 0.495
0.251 0.000 0.749
0.251 0.495 0.248
0.257 0.743 0.000
0.495 0.248 0.251
0.500 0.004 0.996
0.505 0.749 0.752
0.743 0.000 0.257
0.749 0.251 0.000
0.749 0.752 0.505
0.752 0.505 0.749
0.996 0.500 0.004
0.500 0.500 0.500
0.004 0.731 0.017
0.014 0.512 0.238
0.016 0.227 0.498
0.017 0.004 0.731
0.227 0.498 0.016
0.231 0.259 0.724
0.238 0.014 0.512
0.251 0.481 0.477
0.259 0.724 0.231
0.261 0.261 0.261
0.269 0.996 0.983
0.276 0.741 0.769
0.477 0.251 0.481
0.481 0.477 0.251
0.488 0.986 0.762
0.498 0.016 0.227
0.502 0.773 0.984
0.512 0.238 0.014
0.519 0.749 0.523
0.523 0.519 0.749
0.724 0.231 0.259
0.731 0.017 0.004
0.739 0.739 0.739
0.741 0.769 0.276
0.749 0.523 0.519
0.762 0.488 0.986
0.769 0.276 0.741
0.773 0.984 0.502
0.983 0.269 0.996
0.984 0.502 0.773
0.986 0.762 0.488
0.996 0.983 0.269
```

Diffraction record for Li3Mn3NiO8. The PXRD pattern is simulated, not measured: it uses a cell relaxed with GGA+U and Cu Ka.
No peak broadening, texture or thermal motion is included.

Top 6 peaks for 10 to 90 degrees two-theta, in order of rising 2θ:
d/Å  I_rel
4.847  1000
2.482  242
2.145  236
2.066  214
2.056  211
1.488  180

Structural model:
```
Li3Mn3NiO8
1.0
5.775 0.000 0.000
-0.026 5.885 0.000
-2.864 -2.931 4.291
Li Mn Ni O
3 3 1 8
Direct
0.000 0.000 0.000
0.000 0.500 0.500
0.500 0.000 0.000
0.000 0.000 0.500
0.500 0.000 0.500
0.500 0.500 0.000
0.000 0.500 0.000
0.236 0.241 0.948
0.237 0.209 0.479
0.244 0.777 0.495
0.283 0.758 0.043
0.717 0.242 0.957
0.756 0.223 0.505
0.763 0.791 0.521
0.764 0.759 0.052
```

Diffraction record for Li5Mn5Ni2O12. The PXRD pattern is simulated, not measured: it uses a cell relaxed with GGA+U and Cu Ka.
No peak broadening, texture or thermal motion is included.

Top 6 peaks for 10 to 90 degrees two-theta, in order of rising 2θ:
d/Å  I_rel
4.849  414
3.824  355
2.115  502
2.106  1000
1.497  274
1.488  539

Structural model:
```
Li5Mn5Ni2O12
1.0
2.598 -4.467 0.000
2.598 4.467 0.000
-1.717 0.000 9.698
Li Mn Ni O
5 5 2 12
Direct
0.000 0.000 0.000
0.253 0.265 0.757
0.400 0.078 0.241
0.735 0.747 0.243
0.922 0.600 0.759
0.069 0.403 0.243
0.152 0.848 0.500
0.495 0.505 0.500
0.597 0.931 0.757
0.659 0.341 0.000
0.333 0.667 0.000
0.824 0.176 0.500
0.017 0.667 0.119
0.093 0.130 0.367
0.242 0.572 0.627
0.333 0.983 0.881
0.384 0.376 0.114
0.428 0.758 0.373
0.534 0.226 0.613
0.624 0.616 0.886
0.706 0.071 0.122
0.774 0.466 0.387
0.870 0.907 0.633
0.929 0.294 0.878
```